(1)
The following is a simulated powder diffraction line list of CaPr3Pd4. It was derived from a cell relaxed with PBE, using CuKα.
Neutral-atom scattering factors, no anomalous dispersion.

```
16
Lattice="7.237 0.000 0.000 0.000 7.237 0.000 0.000 0.000 7.237" Properties=species:S:1:pos:R:3 pbc="T T T"
Ca 0.000 0.000 0.000
Ca 3.618 3.618 3.618
Pr 0.000 0.000 3.618
Pr 0.000 3.618 0.000
Pr 0.000 3.618 3.618
Pr 3.618 0.000 0.000
Pr 3.618 0.000 3.618
Pr 3.618 3.618 0.000
Pd 1.809 1.809 1.809
Pd 1.809 1.809 5.428
Pd 1.809 5.428 1.809
Pd 1.809 5.428 5.428
Pd 5.428 1.809 1.809
Pd 5.428 1.809 5.428
Pd 5.428 5.428 1.809
Pd 5.428 5.428 5.428
```

Top 10 peaks for 5 to 70 degrees two-theta, in order of rising 2θ:
| two_theta | I (rel.) |
| --- | --- |
| 17.33 | 7 |
| 30.25 | 4 |
| 35.07 | 100 |
| 39.37 | 2 |
| 46.98 | 2 |
| 50.44 | 18 |
| 53.74 | 1 |
| 59.95 | 1 |
| 62.92 | 36 |
| 65.80 | 1 |


(2)
The following is a simulated powder diffraction line list of CaPr2Pd2. It was derived from a cell relaxed with PBE, using CuKα.
Neutral-atom scattering factors, no anomalous dispersion.

```
10
Lattice="5.107 0.000 0.000 2.537 7.581 0.000 2.540 2.439 7.182" Properties=species:S:1:pos:R:3 pbc="T T T"
Ca 2.546 2.510 1.800
Ca 7.638 7.511 5.382
Pr 2.540 5.838 0.560
Pr 5.090 6.753 3.023
Pr 5.094 3.268 4.160
Pr 7.644 4.182 6.622
Pd 2.544 1.712 4.848
Pd 5.087 5.737 5.925
Pd 5.098 4.283 1.257
Pd 7.640 8.308 2.334
```

Top 10 peaks for 5 to 70 degrees two-theta, in order of rising 2θ:
| two_theta | I (rel.) |
| --- | --- |
| 20.09 | 60 |
| 28.97 | 14 |
| 35.17 | 99 |
| 35.51 | 100 |
| 50.78 | 13 |
| 50.88 | 23 |
| 63.10 | 18 |
| 63.25 | 12 |
| 63.36 | 24 |
| 63.98 | 20 |


(3)
The following is a simulated powder diffraction line list of CaPrPd. It was derived from a cell relaxed with PBE, using CuKα.
Neutral-atom scattering factors, no anomalous dispersion.

```
18
Lattice="14.920 0.000 0.000 0.000 4.038 0.000 0.000 0.000 8.632" Properties=species:S:1:pos:R:3 pbc="T T T"
Ca 1.797 0.000 0.545
Ca 3.730 0.000 6.104
Ca 5.663 0.000 0.545
Ca 9.257 0.000 8.087
Ca 11.190 0.000 2.528
Ca 13.123 0.000 8.087
Pr 0.623 2.019 5.956
Pr 3.730 2.019 3.057
Pr 6.836 2.019 5.956
Pr 8.083 2.019 2.676
Pr 11.190 2.019 5.576
Pr 14.296 2.019 2.676
Pd 1.447 0.000 3.786
Pd 3.730 2.019 8.335
Pd 6.013 0.000 3.786
Pd 8.907 0.000 4.846
Pd 11.190 2.019 0.297
Pd 13.473 0.000 4.846
```

Top 10 peaks for 5 to 70 degrees two-theta, in order of rising 2θ:
| two_theta | I (rel.) |
| --- | --- |
| 10.25 | 59 |
| 15.70 | 28 |
| 30.33 | 96 |
| 31.08 | 20 |
| 31.70 | 30 |
| 32.67 | 100 |
| 35.39 | 54 |
| 36.10 | 30 |
| 38.42 | 28 |
| 44.90 | 27 |


(4)
The following is a simulated powder diffraction line list of Ca2Pr2ZnPd4. It was derived from a cell relaxed with PBE, using CuKα.
Neutral-atom scattering factors, no anomalous dispersion.

```
9
Lattice="-3.523 3.523 4.361 3.523 -3.523 4.361 3.523 3.523 -4.361" Properties=species:S:1:pos:R:3 pbc="T T T"
Ca 3.523 0.000 2.181
Ca 0.000 3.523 2.181
Pr 0.000 0.000 1.630
Pr 0.000 0.000 7.093
Zn 0.000 0.000 4.361
Pd 1.740 1.740 0.000
Pd 1.783 -1.783 4.361
Pd -1.783 1.783 4.361
Pd 1.783 1.783 4.361
```

Top 10 peaks for 5 to 70 degrees two-theta, in order of rising 2θ:
| two_theta | I (rel.) |
| --- | --- |
| 17.80 | 38 |
| 32.67 | 100 |
| 33.34 | 24 |
| 36.05 | 70 |
| 40.48 | 10 |
| 41.41 | 11 |
| 42.29 | 28 |
| 51.91 | 24 |
| 56.05 | 17 |
| 62.70 | 29 |


(5)
The following is a simulated powder diffraction line list of Ca2Pd15Pt2. It was derived from a cell relaxed with PBE, using CuKα.
Neutral-atom scattering factors, no anomalous dispersion.

```
19
Lattice="4.578 2.643 4.533 -4.578 2.643 4.533 0.000 -5.286 4.533" Properties=species:S:1:pos:R:3 pbc="T T T"
Ca 0.000 0.000 2.251
Ca 0.000 0.000 11.347
Pd -2.289 -1.322 4.533
Pd 0.000 -2.671 4.357
Pd -2.313 1.335 4.357
Pd -1.379 -2.388 6.799
Pd -2.757 0.000 6.799
Pd -2.313 -1.335 9.242
Pd -2.289 1.322 9.066
Pd 1.379 -2.388 6.799
Pd 0.000 2.643 4.533
Pd -1.379 2.388 6.799
Pd 2.313 1.335 4.357
Pd 2.757 0.000 6.799
Pd 1.379 2.388 6.799
Pd 2.313 -1.335 9.242
Pd 0.000 2.671 9.242
Pt 0.000 0.000 5.450
Pt 0.000 0.000 8.149
```

Top 10 peaks for 5 to 70 degrees two-theta, in order of rising 2θ:
| two_theta | I (rel.) |
| --- | --- |
| 12.92 | 67 |
| 33.92 | 34 |
| 34.76 | 25 |
| 39.36 | 58 |
| 39.46 | 64 |
| 39.77 | 24 |
| 40.21 | 26 |
| 44.33 | 100 |
| 44.61 | 43 |
| 68.18 | 20 |


(6)
The following is a simulated powder diffraction line list of CaPd2Pt2. It was derived from a cell relaxed with PBE, using CuKα.
Neutral-atom scattering factors, no anomalous dispersion.

```
10
Lattice="7.780 0.000 0.000 0.000 7.780 0.000 0.000 0.000 2.936" Properties=species:S:1:pos:R:3 pbc="T T T"
Ca 0.000 0.000 0.000
Ca 3.890 3.890 0.000
Pd 0.986 2.904 0.000
Pd 2.904 6.794 0.000
Pd 4.875 0.986 0.000
Pd 6.794 4.875 0.000
Pt 1.344 5.234 1.468
Pt 2.546 1.344 1.468
Pt 5.234 6.435 1.468
Pt 6.435 2.546 1.468
```

Top 10 peaks for 5 to 70 degrees two-theta, in order of rising 2θ:
| two_theta | I (rel.) |
| --- | --- |
| 16.11 | 27 |
| 22.86 | 18 |
| 25.60 | 13 |
| 36.52 | 38 |
| 38.42 | 19 |
| 40.19 | 100 |
| 48.23 | 15 |
| 49.72 | 15 |
| 58.12 | 19 |
| 69.44 | 9 |